(1)
Structure and simulated X-ray powder pattern of Rb2LaCF6 (the PBE geometry in Alexandria; copper Kα).
No peak broadening, texture or thermal motion is included.

Structural model:
Unit cell a=6.990 b=6.990 c=6.990 alpha=128.26 beta=128.26 gamma=76.20
Fractional coordinates of all 10 atoms:
Rb 0.250 0.750 0.500
Rb 0.750 0.250 0.500
La 0.000 0.000 0.000
C 0.500 0.500 0.000
F 0.209 0.209 0.000
F 0.268 0.268 0.535
F 0.268 0.732 0.000
F 0.732 0.268 0.000
F 0.732 0.732 0.465
F 0.791 0.791 0.000

Most intense lines, 2θ from 10° to 80°, sorted by position:
| 2θ/deg | I (rel.) |
| --- | --- |
| 16.62 | 56.0 |
| 26.26 | 100.0 |
| 29.29 | 36.7 |
| 32.56 | 31.0 |
| 33.86 | 26.0 |
| 41.89 | 31.7 |
| 44.35 | 20.5 |
| 50.12 | 32.8 |
| 54.04 | 26.1 |
| 54.37 | 15.9 |

=====

(2)
Structure and simulated X-ray powder pattern of LiPr2C2N4F3 (the PBE geometry in Alexandria; copper Kα).
No peak broadening, texture or thermal motion is included.

Structural model:
Unit cell a=6.719 b=6.719 c=8.608 alpha=111.89 beta=111.89 gamma=59.10
Fractional coordinates of all 24 atoms:
Li 0.089 0.911 0.750
Li 0.911 0.089 0.250
Pr 0.283 0.291 0.668
Pr 0.291 0.283 0.168
Pr 0.709 0.717 0.832
Pr 0.717 0.709 0.332
C 0.225 0.727 0.047
C 0.273 0.775 0.453
C 0.727 0.225 0.547
C 0.775 0.273 0.953
N 0.115 0.712 0.365
N 0.161 0.566 0.963
N 0.288 0.885 0.135
N 0.434 0.839 0.537
N 0.566 0.161 0.463
N 0.712 0.115 0.865
N 0.839 0.434 0.037
N 0.885 0.288 0.635
F 0.065 0.310 0.367
F 0.310 0.065 0.867
F 0.395 0.605 0.750
F 0.605 0.395 0.250
F 0.690 0.935 0.133
F 0.935 0.690 0.633

Most intense lines, 2θ from 10° to 80°, sorted by position:
| 2θ/deg | I (rel.) |
| --- | --- |
| 16.79 | 99.0 |
| 24.70 | 100.0 |
| 26.90 | 31.5 |
| 29.21 | 61.8 |
| 30.81 | 27.3 |
| 31.88 | 63.8 |
| 33.97 | 28.3 |
| 41.24 | 28.5 |
| 43.86 | 34.0 |
| 48.97 | 26.8 |